1.
Theoretical powder X-ray diffraction pattern
Compound: Li2CuF4
Radiation: Cu Kα, 1.54184 Å
Structure: a crystal structure in Alexandria, relaxed with PBE
Intensities are scaled so that the largest is 100.

Cell and atoms:
a = 5.7805 Å, b = 5.7805 Å, c = 9.1581 Å
α = 90.00°, β = 90.00°, γ = 90.00°
Space group P4_122 (No. 91)
Symmetry-distinct sites (fractional):
Li: 0.0000 0.2369 0.0000 (multiplicity 4)
Li: 0.2566 0.2566 0.3750 (multiplicity 4)
Cu: 0.2361 0.5000 0.7500 (multiplicity 4)
F: 0.0074 0.2553 0.7578 (multiplicity 8)
F: 0.2566 0.4688 0.0058 (multiplicity 8)

Largest 8 diffraction maxima, by angle, 2θ from 10° to 90°:
- (1 0 0), 2θ = 15.33°, 5.781 Å, intensity 43.7
- (1 0 1), 2θ = 18.15°, 4.888 Å, intensity 100.0
- (1 1 1), 2θ = 23.84°, 3.733 Å, intensity 63.6
- (1 0 2), 2θ = 24.81°, 3.589 Å, intensity 43.7
- (2 1 1), 2θ = 36.10°, 2.488 Å, intensity 31.7
- (0 0 4), 2θ = 39.35°, 2.290 Å, intensity 48.9
- (2 2 0), 2θ = 44.32°, 2.044 Å, intensity 63.6
- (2 2 4), 2θ = 60.75°, 1.525 Å, intensity 48.4


2.
Theoretical powder X-ray diffraction pattern
Compound: Li2Cu2F5
Radiation: Cu Kα, 1.54184 Å
Structure: a crystal structure in Alexandria, relaxed with PBE
Intensities are scaled so that the largest is 100.

Cell and atoms:
a = 16.0888 Å, b = 2.9359 Å, c = 8.5434 Å
α = 90.00°, β = 90.00°, γ = 90.00°
Space group Pnma (No. 62)
Symmetry-distinct sites (fractional):
Li: 0.0462 0.2500 0.1146 (multiplicity 4)
Li: 0.1069 0.2500 0.7910 (multiplicity 4)
Cu: 0.0704 0.7500 0.4577 (multiplicity 4)
Cu: 0.2084 0.7500 0.0548 (multiplicity 4)
F: 0.0192 0.7500 0.2648 (multiplicity 4)
F: 0.0724 0.7500 0.9524 (multiplicity 4)
F: 0.1320 0.7500 0.6393 (multiplicity 4)
F: 0.1703 0.2500 0.1884 (multiplicity 4)
F: 0.2281 0.2500 0.9088 (multiplicity 4)

Largest 8 diffraction maxima, by angle, 2θ from 10° to 90°:
- (1 0 1), 2θ = 11.73°, 7.546 Å, intensity 42.3
- (3 0 1), 2θ = 19.54°, 4.542 Å, intensity 88.4
- (0 0 2), 2θ = 20.79°, 4.272 Å, intensity 90.8
- (5 0 1), 2θ = 29.67°, 3.011 Å, intensity 100.0
- (2 1 0), 2θ = 32.46°, 2.758 Å, intensity 62.9
- (3 1 1), 2θ = 36.44°, 2.466 Å, intensity 75.2
- (2 1 2), 2θ = 38.87°, 2.317 Å, intensity 64.7
- (3 0 4), 2θ = 45.76°, 1.983 Å, intensity 51.9


3.
Theoretical powder X-ray diffraction pattern
Compound: Li2Cu3F8
Radiation: Cu Kα, 1.54184 Å
Structure: a crystal structure in Alexandria, relaxed with PBE
Intensities are scaled so that the largest is 100.

Cell and atoms:
a = 8.4930 Å, b = 8.4930 Å, c = 8.4930 Å
α = 90.00°, β = 90.00°, γ = 90.00°
Space group P4_332 (No. 212)
Symmetry-distinct sites (fractional):
Li: 0.0129 0.4871 0.5129 (multiplicity 8)
Cu: 0.1034 0.6250 0.1466 (multiplicity 12)
F: 0.1059 0.8680 0.6302 (multiplicity 24)
F: 0.1065 0.6065 0.8935 (multiplicity 8)

Largest 8 diffraction maxima, by angle, 2θ from 10° to 90°:
- (1 1 1), 2θ = 18.09°, 4.903 Å, intensity 100.0
- (2 1 0), 2θ = 23.42°, 3.798 Å, intensity 35.6
- (2 1 1), 2θ = 25.69°, 3.467 Å, intensity 39.5
- (3 1 1), 2θ = 35.04°, 2.561 Å, intensity 59.2
- (4 0 0), 2θ = 42.58°, 2.123 Å, intensity 80.3
- (5 1 1), 2θ = 56.28°, 1.634 Å, intensity 15.7
- (5 2 1), 2θ = 59.63°, 1.551 Å, intensity 20.9
- (4 4 0), 2θ = 61.79°, 1.501 Å, intensity 42.4


4.
Theoretical powder X-ray diffraction pattern
Compound: LiCu2F7
Radiation: Cu Kα, 1.54184 Å
Structure: a crystal structure in Alexandria, relaxed with PBE
Intensities are scaled so that the largest is 100.

Cell and atoms:
a = 12.2912 Å, b = 5.0092 Å, c = 7.1809 Å
α = 90.00°, β = 93.86°, γ = 90.00°
Space group Cc (No. 9)
Symmetry-distinct sites (fractional):
Li: 0.0000 0.0001 0.0000 (multiplicity 4)
Cu: 0.0922 0.4883 0.3328 (multiplicity 4)
Cu: 0.3020 0.0055 0.9035 (multiplicity 4)
F: 0.0237 0.1742 0.2479 (multiplicity 4)
F: 0.0889 0.3465 0.5864 (multiplicity 4)
F: 0.1578 0.1895 0.9255 (multiplicity 4)
F: 0.2319 0.3075 0.3160 (multiplicity 4)
F: 0.3016 0.1315 0.6516 (multiplicity 4)
F: 0.3641 0.3106 0.9973 (multiplicity 4)
F: 0.4504 0.1539 0.3735 (multiplicity 4)

Largest 8 diffraction maxima, by angle, 2θ from 10° to 90°:
- (1 1 0), 2θ = 19.14°, 4.637 Å, intensity 100.0
- (0 0 2), 2θ = 24.85°, 3.582 Å, intensity 65.9
- (3 1 0), 2θ = 28.18°, 3.167 Å, intensity 87.4
- (4 0 0), 2θ = 29.13°, 3.066 Å, intensity 37.7
- (1 1 2), 2θ = 31.95°, 2.801 Å, intensity 45.3
- (5 1 -1), 2θ = 42.15°, 2.144 Å, intensity 41.4
- (4 2 2), 2θ = 54.77°, 1.676 Å, intensity 29.1
- (1 1 4), 2θ = 55.47°, 1.656 Å, intensity 31.2


5.
Theoretical powder X-ray diffraction pattern
Compound: Li2Cu3F8
Radiation: Cu Kα, 1.54184 Å
Structure: a crystal structure in Alexandria, relaxed with PBE
Intensities are scaled so that the largest is 100.

Cell and atoms:
a = 6.4006 Å, b = 10.4831 Å, c = 9.1542 Å
α = 90.00°, β = 90.82°, γ = 90.00°
Space group Cc (No. 9)
Symmetry-distinct sites (fractional):
Li: 0.0000 0.1642 0.0000 (multiplicity 4)
Li: 0.0165 0.1678 0.6154 (multiplicity 4)
Cu: 0.0240 0.3414 0.2842 (multiplicity 4)
Cu: 0.2712 0.4122 0.7809 (multiplicity 4)
Cu: 0.2744 0.0880 0.2749 (multiplicity 4)
F: 0.0613 0.4920 0.1662 (multiplicity 4)
F: 0.0662 0.0136 0.1479 (multiplicity 4)
F: 0.2296 0.2489 0.1629 (multiplicity 4)
F: 0.2670 0.2708 0.6475 (multiplicity 4)
F: 0.2977 0.0742 0.8811 (multiplicity 4)
F: 0.3039 0.4384 0.3930 (multiplicity 4)
F: 0.4821 0.1765 0.3851 (multiplicity 4)
F: 0.4840 0.3144 0.9009 (multiplicity 4)

Largest 8 diffraction maxima, by angle, 2θ from 10° to 90°:
- (0 0 2), 2θ = 19.40°, 4.577 Å, intensity 100.0
- (2 2 -1), 2θ = 34.15°, 2.626 Å, intensity 28.5
- (2 2 1), 2θ = 34.38°, 2.608 Å, intensity 23.3
- (2 2 -2), 2θ = 38.17°, 2.358 Å, intensity 16.4
- (2 2 -3), 2θ = 44.24°, 2.047 Å, intensity 22.9
- (2 2 3), 2θ = 44.81°, 2.023 Å, intensity 19.2
- (0 4 3), 2θ = 45.63°, 1.988 Å, intensity 18.6
- (2 6 0), 2θ = 60.36°, 1.533 Å, intensity 18.5


6.
Theoretical powder X-ray diffraction pattern
Compound: Li2Cu3F7
Radiation: Cu Kα, 1.54184 Å
Structure: a crystal structure in Alexandria, relaxed with PBE
Intensities are scaled so that the largest is 100.

Cell and atoms:
a = 10.1784 Å, b = 11.3860 Å, c = 3.0462 Å
α = 90.00°, β = 90.00°, γ = 90.00°
Space group Pbam (No. 55)
Symmetry-distinct sites (fractional):
Li: 0.2417 0.1652 0.0000 (multiplicity 4)
Cu: 0.0000 0.0000 0.5000 (multiplicity 2)
Cu: 0.0329 0.3711 0.5000 (multiplicity 4)
F: 0.0000 0.5000 0.0000 (multiplicity 2)
F: 0.1174 0.2902 0.0000 (multiplicity 4)
F: 0.1176 0.0345 0.0000 (multiplicity 4)
F: 0.1599 0.6692 0.5000 (multiplicity 4)

Largest 8 diffraction maxima, by angle, 2θ from 10° to 90°:
- (2 0 0), 2θ = 17.43°, 5.089 Å, intensity 95.3
- (2 2 0), 2θ = 23.45°, 3.794 Å, intensity 23.9
- (1 3 0), 2θ = 25.04°, 3.556 Å, intensity 100.0
- (0 0 1), 2θ = 29.32°, 3.046 Å, intensity 14.6
- (2 0 1), 2θ = 34.31°, 2.614 Å, intensity 24.3
- (1 3 1), 2θ = 38.93°, 2.313 Å, intensity 37.4
- (3 3 1), 2θ = 46.68°, 1.946 Å, intensity 21.1
- (1 5 1), 2θ = 50.86°, 1.795 Å, intensity 18.3